(1)
Computed X-ray powder pattern of Ac6Pd2PtAu for Cu Kα, 1.54184 Å, from a structure optimized by DFT (GGA-PBE).

Cell and atoms:
Cell lengths 8.373, 8.373, 8.373 Å; angles 55.28, 55.28, 55.28 degrees
Element x y z (fractional)
Ac  0.003  0.323  0.675
Ac  0.197  0.818  0.481
Ac  0.323  0.675  0.003
Ac  0.481  0.197  0.818
Ac  0.675  0.003  0.323
Ac  0.818  0.481  0.197
Pd  0.085  0.085  0.085
Pd  0.591  0.591  0.591
Pt  0.409  0.409  0.409
Au  0.905  0.905  0.905

Principal peaks in the range 2θ from 10° to 90°, in order of falling intensity:
2θ 26.17, I = 100.0; 2θ 34.30, I = 60.4; 2θ 40.21, I = 45.0; 2θ 44.99, I = 24.1; 2θ 67.46, I = 18.0; 2θ 48.61, I = 17.5

***

(2)
Computed X-ray powder pattern of Al2BiAu5 for Cu Kα, 1.54184 Å, from a structure optimized by DFT (GGA-PBE).

Cell and atoms:
Cell lengths 13.894, 6.183, 3.870 Å; angles 90.00, 105.39, 90.00 degrees
Element x y z (fractional)
Al  0.208  0.000  0.195
Al  0.292  0.500  0.805
Al  0.708  0.500  0.195
Al  0.792  0.000  0.805
Bi  0.000  0.500  0.000
Bi  0.500  0.000  0.000
Au  0.000  0.000  0.000
Au  0.139  0.247  0.630
Au  0.139  0.753  0.630
Au  0.361  0.253  0.370
Au  0.361  0.747  0.370
Au  0.500  0.500  0.000
Au  0.639  0.253  0.630
Au  0.639  0.747  0.630
Au  0.861  0.247  0.370
Au  0.861  0.753  0.370

Principal peaks in the range 2θ from 10° to 90°, in order of falling intensity:
2θ 39.68, I = 100.0; 2θ 30.78, I = 82.3; 2θ 30.36, I = 77.3; 2θ 37.79, I = 77.1; 2θ 37.91, I = 64.7; 2θ 46.96, I = 34.9

***

(3)
Computed X-ray powder pattern of AlTl2Rh for Cu Kα, 1.54184 Å, from a structure optimized by DFT (GGA-PBE).

Cell and atoms:
Cell lengths 3.188, 3.188, 8.655 Å; angles 90.00, 90.00, 90.00 degrees
Element x y z (fractional)
Al  0.000  0.000  0.000
Tl  0.000  0.000  0.377
Tl  0.500  0.500  0.719
Rh  0.500  0.500  0.125

Principal peaks in the range 2θ from 10° to 90°, in order of falling intensity:
2θ 34.95, I = 100.0; 2θ 29.86, I = 70.9; 2θ 39.99, I = 51.1; 2θ 31.00, I = 33.6; 2θ 51.44, I = 33.3; 2θ 69.40, I = 27.6